No. 1
Calculated powder XRD pattern of Ac8Os3Br4N for Cu Kα (weighted mean of Kα1 and Kα2), from a GGA-PBE-relaxed structure.
No peak broadening, texture or thermal motion is included.

Structural model:
Cell lengths 9.5884, 9.5884, 9.5884 Å; angles 52.69, 52.69, 52.69 degrees
Positions (direct):
Ac (0.2345, 0.2345, 0.2345)
Ac (0.2417, 0.7216, 0.7216)
Ac (0.2784, 0.2784, 0.7583)
Ac (0.2784, 0.7583, 0.2784)
Ac (0.7216, 0.2417, 0.7216)
Ac (0.7216, 0.7216, 0.2417)
Ac (0.7583, 0.2784, 0.2784)
Ac (0.7655, 0.7655, 0.7655)
Os (0.0000, 0.0000, 0.5000)
Os (0.0000, 0.5000, 0.0000)
Os (0.5000, 0.0000, 0.0000)
Br (0.0000, 0.0000, 0.0000)
Br (0.0000, 0.5000, 0.5000)
Br (0.5000, 0.0000, 0.5000)
Br (0.5000, 0.5000, 0.0000)
N (0.5000, 0.5000, 0.5000)

Largest 10 diffraction maxima, low angle first, 2θ from 10° to 90°:
10.74 deg, I 396; 25.22 deg, I 137; 28.20 deg, I 1000; 30.25 deg, I 105; 35.21 deg, I 241; 38.02 deg, I 256; 42.49 deg, I 395; 47.41 deg, I 159; 51.78 deg, I 191; 69.14 deg, I 156


No. 2
Calculated powder XRD pattern of Ac2PmBr2N2 for Cu Kα (weighted mean of Kα1 and Kα2), from a GGA-PBE-relaxed structure.
No peak broadening, texture or thermal motion is included.

Structural model:
Cell lengths 8.8571, 8.8571, 8.8571 Å; angles 149.32, 149.32, 43.95 degrees
Positions (direct):
Ac (0.0991, 0.0991, 0.0000)
Ac (0.9009, 0.9009, 0.0000)
Pm (0.5000, 0.5000, 0.0000)
Br (0.3102, 0.3102, 0.0000)
Br (0.6898, 0.6898, 0.0000)
N (0.0000, 0.5000, 0.5000)
N (0.5000, 0.0000, 0.5000)

Largest 10 diffraction maxima, low angle first, 2θ from 10° to 90°:
10.77 deg, I 246; 19.70 deg, I 140; 26.90 deg, I 819; 33.30 deg, I 1000; 38.41 deg, I 373; 51.73 deg, I 582; 62.69 deg, I 159; 63.17 deg, I 142; 66.24 deg, I 139; 79.26 deg, I 170


No. 3
Calculated powder XRD pattern of AcPrBrN for Cu Kα (weighted mean of Kα1 and Kα2), from a GGA-PBE-relaxed structure.
No peak broadening, texture or thermal motion is included.

Structural model:
Cell lengths 3.8121, 3.8233, 8.1410 Å; angles 103.55, 90.09, 119.75 degrees
Positions (direct):
Ac (0.0000, 0.0000, 0.0000)
Pr (0.7889, 0.5766, 0.3636)
Br (0.2212, 0.4399, 0.6608)
N (0.4014, 0.8028, 0.2027)

Largest 10 diffraction maxima, low angle first, 2θ from 10° to 90°:
11.29 deg, I 268; 27.17 deg, I 502; 27.27 deg, I 251; 31.00 deg, I 1000; 33.05 deg, I 835; 33.17 deg, I 412; 34.33 deg, I 348; 47.44 deg, I 490; 58.10 deg, I 179; 59.88 deg, I 215


No. 4
Calculated powder XRD pattern of Ac2SBr2N for Cu Kα (weighted mean of Kα1 and Kα2), from a GGA-PBE-relaxed structure.
No peak broadening, texture or thermal motion is included.

Structural model:
Cell lengths 4.5258, 10.0756, 7.6114 Å; angles 90.00, 90.00, 90.00 degrees
Positions (direct):
Ac (0.0000, 0.1043, 0.0000)
Ac (0.0000, 0.8957, 0.5000)
Ac (0.5000, 0.2314, 0.4367)
Ac (0.5000, 0.7686, 0.9367)
S (0.5000, 0.0317, 0.7206)
S (0.5000, 0.9683, 0.2206)
Br (0.0000, 0.3542, 0.6927)
Br (0.0000, 0.6458, 0.1927)
Br (0.5000, 0.3318, 0.0573)
Br (0.5000, 0.6682, 0.5573)
N (0.0000, 0.1374, 0.3641)
N (0.0000, 0.8626, 0.8641)

Largest 10 diffraction maxima, low angle first, 2θ from 10° to 90°:
23.37 deg, I 239; 24.53 deg, I 589; 26.47 deg, I 201; 29.02 deg, I 1000; 31.98 deg, I 242; 35.61 deg, I 374; 39.83 deg, I 233; 41.01 deg, I 235; 41.79 deg, I 210; 50.06 deg, I 170


No. 5
Calculated powder XRD pattern of NaAcBr for Cu Kα (weighted mean of Kα1 and Kα2), from a GGA-PBE-relaxed structure.
No peak broadening, texture or thermal motion is included.

Structural model:
Cell lengths 3.9257, 6.1760, 9.1161 Å; angles 90.00, 92.37, 90.00 degrees
Positions (direct):
Na (0.0000, 0.0000, 0.0000)
Na (0.4705, 0.5000, 0.2013)
Ac (0.4483, 0.5000, 0.6263)
Ac (0.9354, 0.0000, 0.4404)
Br (0.4631, 0.0000, 0.7307)
Br (0.9743, 0.5000, 0.9178)

Largest 10 diffraction maxima, low angle first, 2θ from 10° to 90°:
17.35 deg, I 528; 24.29 deg, I 663; 26.93 deg, I 460; 28.36 deg, I 562; 28.91 deg, I 791; 29.01 deg, I 608; 29.43 deg, I 621; 30.69 deg, I 511; 32.87 deg, I 1000; 41.73 deg, I 485


No. 6
Calculated powder XRD pattern of NaAcTeBr for Cu Kα (weighted mean of Kα1 and Kα2), from a GGA-PBE-relaxed structure.
No peak broadening, texture or thermal motion is included.

Structural model:
Cell lengths 5.5993, 5.5993, 5.5993 Å; angles 60.00, 60.00, 60.00 degrees
Positions (direct):
Na (0.0000, 0.0000, 0.0000)
Ac (0.5000, 0.5000, 0.5000)
Te (0.2500, 0.2500, 0.2500)
Br (0.7500, 0.7500, 0.7500)

Largest 10 diffraction maxima, low angle first, 2θ from 10° to 90°:
19.42 deg, I 436; 31.97 deg, I 1000; 37.68 deg, I 255; 45.84 deg, I 184; 50.22 deg, I 116; 56.97 deg, I 387; 60.78 deg, I 89; 66.83 deg, I 119; 70.33 deg, I 88; 76.01 deg, I 165